Structure and simulated X-ray diffraction stick pattern of HfCrGaO6 (a structure optimized by DFT (PBE+U); λ = 1.5418 Å (Cu Kα)).
Peak positions follow from Bragg's law for the DFT cell and can differ from measured ones.

Main lines, in order of rising 2θ (2θ from 10° to 90°):
hkl 1 0 1, 2θ 21.5, rel. 39; hkl 1 1 0, 2θ 27.2, rel. 100; hkl 1 1 2, 2θ 33.6, rel. 16; hkl 1 0 3, 2θ 35.2, rel. 76; hkl 2 0 0, 2θ 38.8, rel. 20; hkl 2 1 3, 2θ 53.4, rel. 64; hkl 2 2 0, 2θ 56.1, rel. 17; hkl 3 1 0, 2θ 63.4, rel. 14; hkl 1 1 6, 2θ 67.6, rel. 14; hkl 3 0 3, 2θ 67.9, rel. 19

Structural model:
a b c (Å): 4.6387 4.6387 9.1725
angles (deg): 90.00 90.00 90.00
Fractional coordinates of all 18 atoms:
Hf: 0.0000 0.0000 0.0000
Hf: 0.5000 0.5000 0.5000
Cr: 0.0000 0.0000 0.3314
Cr: 0.5000 0.5000 0.8314
Ga: 0.0000 0.0000 0.6622
Ga: 0.5000 0.5000 0.1622
O: 0.1865 0.1865 0.4891
O: 0.1978 0.1978 0.1730
O: 0.2144 0.2144 0.8262
O: 0.2856 0.7144 0.3262
O: 0.3022 0.6978 0.6730
O: 0.3135 0.6865 0.9891
O: 0.6865 0.3135 0.9891
O: 0.6978 0.3022 0.6730
O: 0.7144 0.2856 0.3262
O: 0.7856 0.7856 0.8262
O: 0.8022 0.8022 0.1730
O: 0.8135 0.8135 0.4891